Calculated powder diffraction line list
Compound: LiMnO2
Radiation: Cu Ka
Structure: DFT lattice parameters and positions (GGA+U)
Neutral-atom scattering factors, no anomalous dispersion.

The 12 most intense peaks (15° ≤ 2θ ≤ 90°), most intense first:
2θ (°)  d_spacing  I (rel.)
24.30  3.663  100.0
51.01  1.790  44.6
50.75  1.799  21.7
36.15  2.485  20.4
49.78  1.832  20.3
36.03  2.492  19.6
34.39  2.608  15.8
62.68  1.482  14.9
40.20  2.243  10.5
63.35  1.468  8.7
38.71  2.326  8.0
71.28  1.323  7.4

Atomic structure:
Unit cell a=5.1473 b=5.2151 c=2.8375 alpha=90.00 beta=90.00 gamma=90.00
Space group P2_12_12 (No. 18)
Asymmetric unit:
Li: 0.0000 0.0000 0.2498 [2 per cell]
Mn: 0.0000 0.5000 0.7494 [2 per cell]
O: 0.2121 0.6520 0.2479 [4 per cell]